CaMo4O8: theoretical powder X-ray diffraction pattern (CuKα), based on a crystal structure in Alexandria, relaxed with GGA+U.

Top 8 peaks for 2θ = 10–90°, sorted by position:
hkl 0 1 1, 2θ = 17.6°, rel. 32
hkl 0 1 -1, 2θ = 17.7°, rel. 33
hkl 0 2 1, 2θ = 28.1°, rel. 100
hkl 1 -1 0, 2θ = 33.0°, rel. 23
hkl 1 0 -1, 2θ = 33.2°, rel. 24
hkl 1 -1 1, 2θ = 33.3°, rel. 21
hkl 1 2 0, 2θ = 34.3°, rel. 24
hkl 1 2 3, 2θ = 47.0°, rel. 33

Cell lengths 3.292, 7.211, 7.302 Å; angles 87.39, 78.08, 79.09 degrees
Space group P-1 (No. 2)
Asymmetric unit:
1 Ca 0.000 0.000 0.000 x1
2 Mo 0.133 0.176 0.529 x2
3 Mo 0.348 0.528 0.824 x2
4 O 0.039 0.614 0.280 x2
5 O 0.294 0.313 0.044 x2
6 O 0.358 0.711 0.607 x2
7 O 0.366 0.960 0.315 x2